(1)
The following is a calculated powder diffraction line list of LiCr4Hg2O8. It was derived from a structure optimized by DFT (PBE+U), using Cu Kα, 1.54184 Å.
Kinematic intensities with the Lorentz-polarization factor, no thermal factor.

The 10 most intense peaks (10° ≤ 2θ ≤ 90°), low angle first:
- 2θ 16.11, rel. 20
- 2θ 27.34, rel. 42
- 2θ 29.03, rel. 54
- 2θ 33.38, rel. 100
- 2θ 34.10, rel. 24
- 2θ 44.18, rel. 24
- 2θ 51.79, rel. 20
- 2θ 54.29, rel. 25
- 2θ 58.60, rel. 16
- 2θ 60.17, rel. 20

Cell and atoms:
```
data_LiCr4Hg2O8
_chemical_formula_sum 'Li3 Cr12 Hg6 O24'
_cell_length_a 6.1512
_cell_length_b 6.1512
_cell_length_c 16.5008
_cell_angle_alpha 90.00
_cell_angle_beta 90.00
_cell_angle_gamma 120.00
_symmetry_space_group_name_H-M 'R -3 m'
_symmetry_Int_Tables_number 166
_symmetry_space_group_name_Hall '-R 3 2"'
loop_
_atom_site_label
_atom_site_type_symbol
_atom_site_fract_x
_atom_site_fract_y
_atom_site_fract_z
Li1 Li 0.0000 0.0000 0.0000
Cr1 Cr 0.0000 0.0000 0.5000
Cr2 Cr 0.0000 0.5000 0.0000
Hg1 Hg 0.0000 0.0000 0.1496
O1 O 0.0000 0.0000 0.2789
O2 O 0.0419 0.5209 0.2593
```


(2)
The following is a calculated powder diffraction line list of LiSm4V4O12. It was derived from a structure optimized by DFT (PBE+U), using Cu Kα, 1.54184 Å.
Kinematic intensities with the Lorentz-polarization factor, no thermal factor.

The 10 most intense peaks (10° ≤ 2θ ≤ 90°), low angle first:
- 2θ 22.73, rel. 36
- 2θ 30.14, rel. 29
- 2θ 31.62, rel. 47
- 2θ 32.03, rel. 100
- 2θ 32.11, rel. 25
- 2θ 32.36, rel. 50
- 2θ 33.10, rel. 46
- 2θ 40.53, rel. 22
- 2θ 45.97, rel. 24
- 2θ 46.43, rel. 38

Cell and atoms:
```
data_LiSm4V4O12
_chemical_formula_sum 'Li1 Sm4 V4 O12'
_cell_length_a 5.4146
_cell_length_b 5.9321
_cell_length_c 7.8252
_cell_angle_alpha 89.08
_cell_angle_beta 89.89
_cell_angle_gamma 88.59
_symmetry_space_group_name_H-M 'P 1'
_symmetry_Int_Tables_number 1
_symmetry_space_group_name_Hall 'P 1'
loop_
_atom_site_label
_atom_site_type_symbol
_atom_site_fract_x
_atom_site_fract_y
_atom_site_fract_z
Li1 Li 0.0000 0.0000 0.0000
Sm1 Sm 0.3356 0.3339 0.3945
Sm2 Sm 0.4153 0.1872 0.8959
Sm3 Sm 0.8291 0.6507 0.8798
Sm4 Sm 0.8781 0.8305 0.3939
V1 V 0.3560 0.7601 0.6441
V2 V 0.3677 0.7614 0.1463
V3 V 0.8590 0.2859 0.1627
V4 V 0.8671 0.2469 0.6414
O1 O 0.0576 0.5609 0.5914
O2 O 0.0645 0.5798 0.2029
O3 O 0.1650 0.0588 0.5826
O4 O 0.1811 0.0634 0.1987
O5 O 0.2347 0.8094 0.8922
O6 O 0.4743 0.7173 0.4001
O7 O 0.5462 0.4707 0.0817
O8 O 0.5597 0.4507 0.7006
O9 O 0.6642 0.9467 0.7036
O10 O 0.6802 0.9471 0.0849
O11 O 0.7428 0.2170 0.4074
O12 O 0.9793 0.2817 0.8918
```


(3)
The following is a calculated powder diffraction line list of MnC6O6. It was derived from a structure optimized by DFT (PBE+U), using Cu Kα, 1.54184 Å.
Kinematic intensities with the Lorentz-polarization factor, no thermal factor.

The 10 most intense peaks (10° ≤ 2θ ≤ 90°), low angle first:
- 2θ 13.22, rel. 41
- 2θ 14.35, rel. 100
- 2θ 16.71, rel. 26
- 2θ 17.22, rel. 20
- 2θ 18.67, rel. 7
- 2θ 20.18, rel. 12
- 2θ 22.06, rel. 11
- 2θ 22.49, rel. 20
- 2θ 28.41, rel. 7
- 2θ 28.93, rel. 18

Cell and atoms:
```
data_MnC6O6
_chemical_formula_sum 'Mn2 C12 O12'
_cell_length_a 9.4186
_cell_length_b 10.3017
_cell_length_c 13.1918
_cell_angle_alpha 90.00
_cell_angle_beta 110.69
_cell_angle_gamma 90.00
_symmetry_space_group_name_H-M 'C 1 2/m 1'
_symmetry_Int_Tables_number 12
_symmetry_space_group_name_Hall '-C 2y'
loop_
_atom_site_label
_atom_site_type_symbol
_atom_site_fract_x
_atom_site_fract_y
_atom_site_fract_z
Mn1 Mn 0.0000 0.0000 0.0000
C1 C 0.1906 0.0000 0.5037
C2 C 0.1971 0.1153 0.9969
O1 O 0.1902 0.1143 0.5037
O2 O 0.2322 0.5000 0.9978
```


(4)
The following is a calculated powder diffraction line list of NaLi2FePCO7. It was derived from a structure optimized by DFT (PBE+U), using Cu Kα, 1.54184 Å.
Kinematic intensities with the Lorentz-polarization factor, no thermal factor.

The 10 most intense peaks (10° ≤ 2θ ≤ 90°), low angle first:
- 2θ 10.25, rel. 100
- 2θ 19.77, rel. 20
- 2θ 20.95, rel. 30
- 2θ 25.14, rel. 24
- 2θ 26.27, rel. 30
- 2θ 26.61, rel. 75
- 2θ 32.96, rel. 25
- 2θ 35.53, rel. 26
- 2θ 36.39, rel. 24
- 2θ 38.84, rel. 24

Cell and atoms:
```
data_NaLi2FePCO7
_chemical_formula_sum 'Na4 Li8 Fe4 P4 C4 O28'
_cell_length_a 5.0639
_cell_length_b 10.6726
_cell_length_c 11.2248
_cell_angle_alpha 75.53
_cell_angle_beta 86.99
_cell_angle_gamma 87.08
_symmetry_space_group_name_H-M 'P 1'
_symmetry_Int_Tables_number 1
_symmetry_space_group_name_Hall 'P 1'
loop_
_atom_site_label
_atom_site_type_symbol
_atom_site_fract_x
_atom_site_fract_y
_atom_site_fract_z
Na1 Na 0.0000 0.0000 0.0000
Na2 Na 0.0000 0.4989 0.5009
Na3 Na 0.4811 0.7437 0.7446
Na4 Na 0.4816 0.2444 0.2428
Li1 Li 0.4884 0.4942 0.9657
Li2 Li 0.4974 0.9982 0.4607
Li3 Li 0.5041 0.0648 0.7748
Li4 Li 0.5090 0.5645 0.2701
Li5 Li 0.9776 0.6776 0.9705
Li6 Li 0.9805 0.1771 0.4745
Li7 Li 0.9813 0.2450 0.7860
Li8 Li 0.9857 0.7461 0.2834
Fe1 Fe 0.5249 0.4112 0.6781
Fe2 Fe 0.5261 0.9117 0.1769
Fe3 Fe 0.9550 0.3329 0.0695
Fe4 Fe 0.9548 0.8314 0.5671
P1 P 0.0210 0.5374 0.7943
P2 P 0.0220 0.0401 0.2909
P3 P 0.4579 0.2042 0.9517
P4 P 0.4614 0.7045 0.4520
C1 C 0.0291 0.9843 0.7173
C2 C 0.0415 0.4859 0.2176
C3 C 0.4523 0.7583 0.0265
C4 C 0.4530 0.2594 0.5256
O1 O 0.1092 0.0552 0.7856
O2 O 0.1117 0.5573 0.2877
O3 O 0.1503 0.2260 0.9498
O4 O 0.1541 0.7277 0.4498
O5 O 0.2042 0.9290 0.6547
O6 O 0.2233 0.4331 0.1566
O7 O 0.2770 0.3145 0.5877
O8 O 0.2770 0.8137 0.0887
O9 O 0.3282 0.5159 0.7961
O10 O 0.3288 0.0173 0.2943
O11 O 0.3727 0.6873 0.9581
O12 O 0.3736 0.1880 0.4574
O13 O 0.5310 0.0597 0.0089
O14 O 0.5340 0.5611 0.5115
O15 O 0.5689 0.2954 0.0231
O16 O 0.5733 0.7971 0.5228
O17 O 0.5768 0.2314 0.8162
O18 O 0.5803 0.7313 0.3169
O19 O 0.7009 0.2778 0.5355
O20 O 0.7006 0.7763 0.0365
O21 O 0.7809 0.9662 0.7074
O22 O 0.7948 0.4653 0.2053
O23 O 0.9016 0.0147 0.4255
O24 O 0.9049 0.5081 0.9306
O25 O 0.9097 0.4463 0.7224
O26 O 0.9102 0.9477 0.2204
O27 O 0.9462 0.6816 0.7380
O28 O 0.9530 0.1843 0.2299
```


(5)
The following is a calculated powder diffraction line list of MgMn4H2O8. It was derived from a structure optimized by DFT (PBE+U), using Cu Kα, 1.54184 Å.
Kinematic intensities with the Lorentz-polarization factor, no thermal factor.

The 10 most intense peaks (10° ≤ 2θ ≤ 90°), low angle first:
- 2θ 18.78, rel. 100
- 2θ 24.40, rel. 19
- 2θ 31.50, rel. 39
- 2θ 31.67, rel. 23
- 2θ 35.15, rel. 46
- 2θ 35.71, rel. 25
- 2θ 39.09, rel. 28
- 2θ 49.35, rel. 15
- 2θ 53.73, rel. 18
- 2θ 58.11, rel. 20

Cell and atoms:
```
data_MgMn4H2O8
_chemical_formula_sum 'Mg1 Mn4 H2 O8'
_cell_length_a 5.3648
_cell_length_b 2.9688
_cell_length_c 10.0049
_cell_angle_alpha 90.00
_cell_angle_beta 90.33
_cell_angle_gamma 90.00
_symmetry_space_group_name_H-M 'P 1 m 1'
_symmetry_Int_Tables_number 6
_symmetry_space_group_name_Hall 'P -2y'
loop_
_atom_site_label
_atom_site_type_symbol
_atom_site_fract_x
_atom_site_fract_y
_atom_site_fract_z
Mg1 Mg 0.0000 0.0000 0.0000
Mn1 Mn 0.0425 0.5000 0.7335
Mn2 Mn 0.1647 0.0000 0.4601
Mn3 Mn 0.5159 0.0000 0.9572
Mn4 Mn 0.6519 0.5000 0.2647
H1 H 0.2275 0.5000 0.1669
H2 H 0.5123 0.5000 0.5635
O1 O 0.0010 0.5000 0.3713
O2 O 0.2127 0.0000 0.8303
O3 O 0.2413 0.5000 0.0690
O4 O 0.3294 0.5000 0.5654
O5 O 0.4667 0.0000 0.3463
O6 O 0.7391 0.0000 0.1435
O7 O 0.7789 0.5000 0.9016
O8 O 0.9262 0.0000 0.6183
```


(6)
The following is a calculated powder diffraction line list of NiS2O12. It was derived from a structure optimized by DFT (PBE+U), using Cu Kα, 1.54184 Å.
Kinematic intensities with the Lorentz-polarization factor, no thermal factor.

The 10 most intense peaks (10° ≤ 2θ ≤ 90°), low angle first:
- 2θ 11.10, rel. 20
- 2θ 13.08, rel. 66
- 2θ 13.84, rel. 59
- 2θ 15.66, rel. 33
- 2θ 18.27, rel. 100
- 2θ 19.37, rel. 32
- 2θ 22.31, rel. 35
- 2θ 23.46, rel. 29
- 2θ 26.74, rel. 30
- 2θ 28.54, rel. 24

Cell and atoms:
```
data_NiS2O12
_chemical_formula_sum 'Ni1 S2 O12'
_cell_length_a 6.8801
_cell_length_b 7.4363
_cell_length_c 8.5633
_cell_angle_alpha 70.83
_cell_angle_beta 79.74
_cell_angle_gamma 87.08
_symmetry_space_group_name_H-M 'P -1'
_symmetry_Int_Tables_number 2
_symmetry_space_group_name_Hall '-P 1'
loop_
_atom_site_label
_atom_site_type_symbol
_atom_site_fract_x
_atom_site_fract_y
_atom_site_fract_z
Ni1 Ni 0.0000 0.0000 0.0000
S1 S 0.2051 0.6072 0.5714
O1 O 0.0155 0.0467 0.7891
O2 O 0.0964 0.6196 0.0693
O3 O 0.2456 0.7435 0.6492
O4 O 0.2588 0.9013 0.9930
O5 O 0.2623 0.7029 0.0365
O6 O 0.3104 0.6243 0.4044
```


(7)
The following is a calculated powder diffraction line list of Li3Mn8O16. It was derived from a structure optimized by DFT (PBE+U), using Cu Kα, 1.54184 Å.
Kinematic intensities with the Lorentz-polarization factor, no thermal factor.

The 10 most intense peaks (10° ≤ 2θ ≤ 90°), low angle first:
- 2θ 18.26, rel. 100
- 2θ 18.38, rel. 93
- 2θ 35.09, rel. 29
- 2θ 35.28, rel. 27
- 2θ 36.12, rel. 26
- 2θ 42.61, rel. 71
- 2θ 44.19, rel. 32
- 2θ 56.29, rel. 12
- 2θ 56.52, rel. 11
- 2θ 63.07, rel. 38

Cell and atoms:
```
data_Li3Mn8O16
_chemical_formula_sum 'Li6 Mn16 O32'
_cell_length_a 5.9723
_cell_length_b 12.0624
_cell_length_c 8.1974
_cell_angle_alpha 90.00
_cell_angle_beta 90.00
_cell_angle_gamma 90.00
_symmetry_space_group_name_H-M 'P m m n'
_symmetry_Int_Tables_number 59
loop_
_symmetry_equiv_pos_as_xyz
'x,y,z'
'-x,-y,-z'
'-x+1/2,-y+1/2,z'
'x+1/2,y+1/2,-z'
'x+1/2,-y,-z'
'-x+1/2,y,z'
'-x,y+1/2,-z'
'x,-y+1/2,z'
loop_
_atom_site_label
_atom_site_type_symbol
_atom_site_fract_x
_atom_site_fract_y
_atom_site_fract_z
Li1 Li 0.2500 0.0066 0.1282
Li2 Li 0.2500 0.7500 0.3703
Mn1 Mn 0.0000 0.0000 0.5000
Mn2 Mn 0.0017 0.7500 0.0007
Mn3 Mn 0.2500 0.1242 0.7523
Mn4 Mn 0.2500 0.6282 0.7484
O1 O 0.0132 0.2500 0.7679
O2 O 0.0241 0.5120 0.7352
O3 O 0.0368 0.7500 0.7619
O4 O 0.2500 0.1042 0.5185
O5 O 0.2500 0.1393 0.9871
O6 O 0.2500 0.6095 0.5067
O7 O 0.2500 0.6361 0.9839
```


Q: Number 1 is which compound?
A: LiCr4Hg2O8